Entry 1:
Diffraction record for LiGdErCu. The X-ray diffraction stick pattern is theoretical, not measured: it uses a crystal structure in Alexandria, relaxed with GGA-PBE and Cu Kα.

Atomic structure:
Cell lengths 7.110, 7.110, 7.110 Å; angles 90.00, 90.00, 90.00 degrees
Atoms (fractional coordinates):
Li  0.000  0.000  0.000
Li  0.000  0.500  0.500
Li  0.500  0.000  0.500
Li  0.500  0.500  0.000
Gd  0.250  0.250  0.250
Gd  0.250  0.750  0.750
Gd  0.750  0.250  0.750
Gd  0.750  0.750  0.250
Er  0.250  0.250  0.750
Er  0.250  0.750  0.250
Er  0.750  0.250  0.250
Er  0.750  0.750  0.750
Cu  0.000  0.000  0.500
Cu  0.000  0.500  0.000
Cu  0.500  0.000  0.000
Cu  0.500  0.500  0.500

Largest 12 diffraction maxima, in order of rising 2θ, 2θ = 10–80°:
2θ/deg	d_spacing	Rel. int.	index
21.65	4.105	6.5	1 1 1
25.05	3.555	48.1	2 0 0
35.72	2.514	100.0	2 2 0
42.15	2.144	3.4	3 1 1
44.13	2.052	14.4	2 2 2
51.41	1.777	17.6	4 0 0
56.41	1.631	1.3	3 3 1
58.01	1.590	19.7	4 2 0
64.17	1.451	35.8	4 2 2
68.59	1.368	0.9	5 1 1
75.67	1.257	11.0	4 4 0
79.81	1.202	0.9	5 3 1


Entry 2:
Diffraction record for Ag2C2BrO6. The X-ray diffraction stick pattern is theoretical, not measured: it uses a crystal structure in Alexandria, relaxed with GGA-PBE and Cu Kα.

Atomic structure:
Cell lengths 5.630, 5.822, 6.026 Å; angles 82.24, 66.16, 83.69 degrees
Atoms (fractional coordinates):
Ag  0.250  0.239  0.360
Ag  0.750  0.761  0.640
C  0.206  0.627  0.689
C  0.794  0.373  0.311
Br  0.500  0.000  0.000
O  0.073  0.452  0.711
O  0.121  0.834  0.633
O  0.415  0.586  0.727
O  0.585  0.414  0.273
O  0.879  0.166  0.367
O  0.927  0.548  0.289

Largest 12 diffraction maxima, in order of rising 2θ, 2θ = 10–80°:
2θ/deg	d_spacing	Rel. int.	index
16.16	5.485	31.8	0 0 1
18.41	4.820	82.1	1 0 1
21.23	4.185	28.1	0 1 1
22.47	3.956	82.9	1 1 0
23.49	3.787	100.0	0 1 -1
25.77	3.458	59.2	1 -1 1
32.09	2.789	33.0	2 0 1
34.04	2.634	28.9	2 1 1
34.80	2.578	70.6	0 1 2
41.93	2.154	24.4	-1 2 1
42.75	2.115	30.5	2 -1 2
45.88	1.978	25.9	2 2 0